(1)
Structure and computed XRD peak list of Tb6Sm5In (a crystal structure in Alexandria, relaxed with PBE; Cu Kα).

Most intense lines, 15 to 90 degrees two-theta, sorted by position:
30.84 deg, rel. 100.0
35.63 deg, rel. 33.9
36.02 deg, rel. 16.6
51.28 deg, rel. 12.0
51.57 deg, rel. 23.7
61.04 deg, rel. 28.2
61.56 deg, rel. 14.0
64.25 deg, rel. 12.1

Structural model:
```
data_Tb6Sm5In
_chemical_formula_sum 'Tb6 Sm5 In1'
_cell_length_a 9.423
_cell_length_b 9.423
_cell_length_c 9.423
_cell_angle_alpha 149.31
_cell_angle_beta 115.40
_cell_angle_gamma 73.21
_space_group_name_H-M_alt 'P 1'
_space_group_IT_number 1
_space_group_name_Hall 'P 1'
loop_
_atom_site_label
_atom_site_fract_x
_atom_site_fract_y
_atom_site_fract_z
_atom_site_occupancy
Tb1 0.080 0.335 0.745 1
Tb2 0.243 0.000 0.243 1
Tb3 0.410 0.665 0.745 1
Tb4 0.590 0.335 0.255 1
Tb5 0.757 0.000 0.757 1
Tb6 0.920 0.665 0.255 1
Sm1 0.167 0.167 0.000 1
Sm2 0.337 0.837 0.500 1
Sm3 0.500 0.500 0.000 1
Sm4 0.663 0.163 0.500 1
Sm5 0.833 0.833 0.000 1
In1 0.000 0.500 0.500 1
```

***

(2)
Structure and computed XRD peak list of Sm5In2Te (a crystal structure in Alexandria, relaxed with PBE; Cu Kα).

Most intense lines, 15 to 90 degrees two-theta, sorted by position:
29.25 deg, rel. 94.9
29.67 deg, rel. 25.9
30.40 deg, rel. 48.8
30.96 deg, rel. 100.0
33.19 deg, rel. 99.1
36.87 deg, rel. 30.5
42.69 deg, rel. 42.9
52.93 deg, rel. 31.6

Structural model:
```
data_Sm5In2Te
_chemical_formula_sum 'Sm10 In4 Te2'
_cell_length_a 6.753
_cell_length_b 6.753
_cell_length_c 13.630
_cell_angle_alpha 90.00
_cell_angle_beta 90.00
_cell_angle_gamma 126.23
_space_group_name_H-M_alt 'P 1'
_space_group_IT_number 1
_space_group_name_Hall 'P 1'
loop_
_atom_site_label
_atom_site_fract_x
_atom_site_fract_y
_atom_site_fract_z
_atom_site_occupancy
Sm1 0.068 0.932 0.750 1
Sm2 0.133 0.867 0.033 1
Sm3 0.133 0.867 0.467 1
Sm4 0.418 0.582 0.104 1
Sm5 0.418 0.582 0.396 1
Sm6 0.582 0.418 0.604 1
Sm7 0.582 0.418 0.896 1
Sm8 0.867 0.133 0.533 1
Sm9 0.867 0.133 0.967 1
Sm10 0.932 0.068 0.250 1
In1 0.315 0.685 0.636 1
In2 0.315 0.685 0.864 1
In3 0.685 0.315 0.136 1
In4 0.685 0.315 0.364 1
Te1 0.216 0.784 0.250 1
Te2 0.784 0.216 0.750 1
```

***

(3)
Structure and computed XRD peak list of Sm5InTe8 (a crystal structure in Alexandria, relaxed with PBE; Cu Kα).

Most intense lines, 15 to 90 degrees two-theta, sorted by position:
22.44 deg, rel. 53.3
27.15 deg, rel. 67.1
35.50 deg, rel. 39.2
38.77 deg, rel. 100.0
47.97 deg, rel. 17.1
55.99 deg, rel. 15.9
63.31 deg, rel. 20.1
70.19 deg, rel. 30.1

Structural model:
```
data_Sm5InTe8
_chemical_formula_sum 'Sm5 In1 Te8'
_cell_length_a 9.290
_cell_length_b 9.290
_cell_length_c 9.290
_cell_angle_alpha 60.00
_cell_angle_beta 60.00
_cell_angle_gamma 60.00
_space_group_name_H-M_alt 'P 1'
_space_group_IT_number 1
_space_group_name_Hall 'P 1'
loop_
_atom_site_label
_atom_site_fract_x
_atom_site_fract_y
_atom_site_fract_z
_atom_site_occupancy
Sm1 0.000 0.000 0.000 1
Sm2 0.139 0.620 0.620 1
Sm3 0.620 0.139 0.620 1
Sm4 0.620 0.620 0.139 1
Sm5 0.620 0.620 0.620 1
In1 0.250 0.250 0.250 1
Te1 0.385 0.385 0.385 1
Te2 0.385 0.385 0.844 1
Te3 0.385 0.844 0.385 1
Te4 0.400 0.867 0.867 1
Te5 0.844 0.385 0.385 1
Te6 0.867 0.400 0.867 1
Te7 0.867 0.867 0.400 1
Te8 0.867 0.867 0.867 1
```

***

(4)
Structure and computed XRD peak list of SmIn3Te6 (a crystal structure in Alexandria, relaxed with PBE; Cu Kα).

Most intense lines, 15 to 90 degrees two-theta, sorted by position:
27.80 deg, rel. 100.0
28.11 deg, rel. 52.8
29.39 deg, rel. 72.7
30.10 deg, rel. 96.4
31.02 deg, rel. 39.5
36.77 deg, rel. 43.8
40.57 deg, rel. 47.4
40.82 deg, rel. 69.6

Structural model:
```
data_SmIn3Te6
_chemical_formula_sum 'Sm2 In6 Te12'
_cell_length_a 12.244
_cell_length_b 4.421
_cell_length_c 12.907
_cell_angle_alpha 90.00
_cell_angle_beta 111.33
_cell_angle_gamma 90.00
_space_group_name_H-M_alt 'P 1'
_space_group_IT_number 1
_space_group_name_Hall 'P 1'
loop_
_atom_site_label
_atom_site_fract_x
_atom_site_fract_y
_atom_site_fract_z
_atom_site_occupancy
Sm1 0.206 0.250 0.052 1
Sm2 0.794 0.750 0.948 1
In1 0.027 0.750 0.297 1
In2 0.336 0.250 0.440 1
In3 0.402 0.750 0.830 1
In4 0.598 0.250 0.170 1
In5 0.664 0.750 0.560 1
In6 0.973 0.250 0.703 1
Te1 0.035 0.750 0.901 1
Te2 0.105 0.250 0.458 1
Te3 0.232 0.250 0.804 1
Te4 0.241 0.750 0.250 1
Te5 0.409 0.750 0.068 1
Te6 0.438 0.750 0.604 1
Te7 0.562 0.250 0.396 1
Te8 0.591 0.250 0.932 1
Te9 0.759 0.250 0.750 1
Te10 0.768 0.750 0.196 1
Te11 0.895 0.750 0.542 1
Te12 0.965 0.250 0.099 1
```

***

(5)
Structure and computed XRD peak list of SmIn3Te4 (a crystal structure in Alexandria, relaxed with PBE; Cu Kα).

Most intense lines, 15 to 90 degrees two-theta, sorted by position:
27.74 deg, rel. 100.0
38.58 deg, rel. 38.1
40.68 deg, rel. 36.5
49.95 deg, rel. 19.4
57.30 deg, rel. 11.8
63.35 deg, rel. 15.1
66.31 deg, rel. 16.4
72.63 deg, rel. 11.9

Structural model:
```
data_SmIn3Te4
_chemical_formula_sum 'Sm1 In3 Te4'
_cell_length_a 15.878
_cell_length_b 15.878
_cell_length_c 15.878
_cell_angle_alpha 16.06
_cell_angle_beta 16.06
_cell_angle_gamma 16.06
_space_group_name_H-M_alt 'P 1'
_space_group_IT_number 1
_space_group_name_Hall 'P 1'
loop_
_atom_site_label
_atom_site_fract_x
_atom_site_fract_y
_atom_site_fract_z
_atom_site_occupancy
Sm1 0.000 0.000 0.000 1
In1 0.247 0.247 0.247 1
In2 0.500 0.500 0.500 1
In3 0.753 0.753 0.753 1
Te1 0.130 0.130 0.130 1
Te2 0.372 0.372 0.372 1
Te3 0.628 0.628 0.628 1
Te4 0.870 0.870 0.870 1
```

***

(6)
Structure and computed XRD peak list of Sm10In3Te3 (a crystal structure in Alexandria, relaxed with PBE; Cu Kα).

Most intense lines, 15 to 90 degrees two-theta, sorted by position:
27.24 deg, rel. 13.5
29.55 deg, rel. 42.4
32.66 deg, rel. 81.5
33.60 deg, rel. 100.0
48.27 deg, rel. 17.4
51.68 deg, rel. 22.2
53.76 deg, rel. 11.3
64.95 deg, rel. 15.9

Structural model:
```
data_Sm10In3Te3
_chemical_formula_sum 'Sm10 In3 Te3'
_cell_length_a 9.225
_cell_length_b 9.225
_cell_length_c 6.547
_cell_angle_alpha 90.00
_cell_angle_beta 90.00
_cell_angle_gamma 120.00
_space_group_name_H-M_alt 'P 1'
_space_group_IT_number 1
_space_group_name_Hall 'P 1'
loop_
_atom_site_label
_atom_site_fract_x
_atom_site_fract_y
_atom_site_fract_z
_atom_site_occupancy
Sm1 0.000 0.240 0.000 1
Sm2 0.000 0.757 0.500 1
Sm3 0.240 0.000 0.000 1
Sm4 0.243 0.243 0.500 1
Sm5 0.333 0.667 0.250 1
Sm6 0.333 0.667 0.750 1
Sm7 0.667 0.333 0.250 1
Sm8 0.667 0.333 0.750 1
Sm9 0.757 0.000 0.500 1
Sm10 0.760 0.760 0.000 1
In1 0.000 0.607 0.000 1
In2 0.393 0.393 0.000 1
In3 0.607 0.000 0.000 1
Te1 0.000 0.387 0.500 1
Te2 0.387 0.000 0.500 1
Te3 0.613 0.613 0.500 1
```

***

(7)
Structure and computed XRD peak list of SmTl2InTe4 (a crystal structure in Alexandria, relaxed with PBE; Cu Kα).

Most intense lines, 15 to 90 degrees two-theta, sorted by position:
26.99 deg, rel. 52.5
27.48 deg, rel. 100.0
38.90 deg, rel. 77.4
39.25 deg, rel. 37.6
48.28 deg, rel. 40.5
63.17 deg, rel. 17.2
63.91 deg, rel. 16.4
70.85 deg, rel. 12.3

Structural model:
```
data_SmTl2InTe4
_chemical_formula_sum 'Sm2 Tl4 In2 Te8'
_cell_length_a 9.262
_cell_length_b 9.262
_cell_length_c 9.262
_cell_angle_alpha 120.66
_cell_angle_beta 120.50
_cell_angle_gamma 89.00
_space_group_name_H-M_alt 'P 1'
_space_group_IT_number 1
_space_group_name_Hall 'P 1'
loop_
_atom_site_label
_atom_site_fract_x
_atom_site_fract_y
_atom_site_fract_z
_atom_site_occupancy
Sm1 0.500 0.000 0.000 1
Sm2 0.500 0.500 0.500 1
Tl1 0.000 0.000 0.000 1
Tl2 0.000 0.000 0.500 1
Tl3 0.000 0.500 0.000 1
Tl4 0.500 0.000 0.500 1
In1 0.000 0.500 0.500 1
In2 0.500 0.500 0.000 1
Te1 0.256 0.739 0.517 1
Te2 0.258 0.284 0.525 1
Te3 0.258 0.733 0.975 1
Te4 0.278 0.261 0.017 1
Te5 0.722 0.739 0.983 1
Te6 0.742 0.267 0.025 1
Te7 0.742 0.716 0.475 1
Te8 0.744 0.261 0.483 1
```

***

(8)
Structure and computed XRD peak list of Sm2ThIn9 (a crystal structure in Alexandria, relaxed with PBE; Cu Kα).

Most intense lines, 15 to 90 degrees two-theta, sorted by position:
18.86 deg, rel. 3.3
26.79 deg, rel. 2.9
32.97 deg, rel. 100.0
38.25 deg, rel. 49.9
55.21 deg, rel. 33.8
65.83 deg, rel. 39.3
69.16 deg, rel. 11.3
81.95 deg, rel. 3.6

Structural model:
```
data_Sm2ThIn9
_chemical_formula_sum 'Sm2 Th1 In9'
_cell_length_a 4.703
_cell_length_b 4.703
_cell_length_c 14.132
_cell_angle_alpha 90.00
_cell_angle_beta 90.00
_cell_angle_gamma 90.00
_space_group_name_H-M_alt 'P 1'
_space_group_IT_number 1
_space_group_name_Hall 'P 1'
loop_
_atom_site_label
_atom_site_fract_x
_atom_site_fract_y
_atom_site_fract_z
_atom_site_occupancy
Sm1 0.000 0.000 0.165 1
Sm2 0.000 0.000 0.835 1
Th1 0.000 0.000 0.500 1
In1 0.000 0.500 0.000 1
In2 0.000 0.500 0.330 1
In3 0.000 0.500 0.670 1
In4 0.500 0.000 0.000 1
In5 0.500 0.000 0.330 1
In6 0.500 0.000 0.670 1
In7 0.500 0.500 0.165 1
In8 0.500 0.500 0.500 1
In9 0.500 0.500 0.835 1
```

***

(9)
Structure and computed XRD peak list of SmTh2In3 (a crystal structure in Alexandria, relaxed with PBE; Cu Kα).

Most intense lines, 15 to 90 degrees two-theta, sorted by position:
32.08 deg, rel. 100.0
35.95 deg, rel. 37.0
39.63 deg, rel. 14.0
51.76 deg, rel. 13.1
54.57 deg, rel. 22.1
62.21 deg, rel. 30.0
67.15 deg, rel. 23.6
89.59 deg, rel. 17.2

Structural model:
```
data_SmTh2In3
_chemical_formula_sum 'Sm1 Th2 In3'
_cell_length_a 3.533
_cell_length_b 3.533
_cell_length_c 13.644
_cell_angle_alpha 90.00
_cell_angle_beta 90.00
_cell_angle_gamma 90.00
_space_group_name_H-M_alt 'P 1'
_space_group_IT_number 1
_space_group_name_Hall 'P 1'
loop_
_atom_site_label
_atom_site_fract_x
_atom_site_fract_y
_atom_site_fract_z
_atom_site_occupancy
Sm1 0.000 0.000 0.000 1
Th1 0.000 0.000 0.331 1
Th2 0.000 0.000 0.669 1
In1 0.500 0.500 0.163 1
In2 0.500 0.500 0.500 1
In3 0.500 0.500 0.837 1
```

***

(10)
Structure and computed XRD peak list of Sm7TlIn5 (a crystal structure in Alexandria, relaxed with PBE; Cu Kα).

Most intense lines, 15 to 90 degrees two-theta, sorted by position:
26.67 deg, rel. 39.7
28.53 deg, rel. 53.9
31.29 deg, rel. 46.1
31.63 deg, rel. 46.0
32.50 deg, rel. 90.9
32.92 deg, rel. 92.4
35.67 deg, rel. 100.0
60.04 deg, rel. 37.8

Structural model:
```
data_Sm7TlIn5
_chemical_formula_sum 'Sm7 Tl1 In5'
_cell_length_a 8.352
_cell_length_b 8.352
_cell_length_c 8.352
_cell_angle_alpha 132.81
_cell_angle_beta 101.05
_cell_angle_gamma 97.40
_space_group_name_H-M_alt 'P 1'
_space_group_IT_number 1
_space_group_name_Hall 'P 1'
loop_
_atom_site_label
_atom_site_fract_x
_atom_site_fract_y
_atom_site_fract_z
_atom_site_occupancy
Sm1 0.000 0.000 0.000 1
Sm2 0.293 0.614 0.679 1
Sm3 0.354 0.354 0.000 1
Sm4 0.427 0.104 0.323 1
Sm5 0.781 0.104 0.677 1
Sm6 0.843 0.343 0.500 1
Sm7 0.934 0.614 0.321 1
Tl1 0.655 0.655 0.000 1
In1 0.105 0.099 0.478 1
In2 0.105 0.627 0.006 1
In3 0.358 0.858 0.500 1
In4 0.621 0.099 0.994 1
In5 0.621 0.627 0.522 1
```

***

(11)
Structure and computed XRD peak list of SmTlIn (a crystal structure in Alexandria, relaxed with PBE; Cu Kα).

Most intense lines, 15 to 90 degrees two-theta, sorted by position:
31.79 deg, rel. 100.0
35.32 deg, rel. 86.6
43.35 deg, rel. 12.6
48.25 deg, rel. 31.4
61.20 deg, rel. 30.7
62.54 deg, rel. 33.0
63.41 deg, rel. 15.8
84.67 deg, rel. 14.4

Structural model:
```
data_SmTlIn
_chemical_formula_sum 'Sm2 Tl2 In2'
_cell_length_a 5.080
_cell_length_b 5.080
_cell_length_c 7.322
_cell_angle_alpha 90.00
_cell_angle_beta 90.00
_cell_angle_gamma 119.92
_space_group_name_H-M_alt 'P 1'
_space_group_IT_number 1
_space_group_name_Hall 'P 1'
loop_
_atom_site_label
_atom_site_fract_x
_atom_site_fract_y
_atom_site_fract_z
_atom_site_occupancy
Sm1 0.000 0.000 0.000 1
Sm2 0.000 0.000 0.500 1
Tl1 0.333 0.667 0.750 1
Tl2 0.667 0.333 0.250 1
In1 0.333 0.667 0.250 1
In2 0.667 0.333 0.750 1
```

***

(12)
Structure and computed XRD peak list of Sm5TlIn2 (a crystal structure in Alexandria, relaxed with PBE; Cu Kα).

Most intense lines, 15 to 90 degrees two-theta, sorted by position:
28.76 deg, rel. 20.2
30.45 deg, rel. 100.0
30.85 deg, rel. 16.4
32.73 deg, rel. 37.5
34.60 deg, rel. 58.8
49.48 deg, rel. 13.9
53.59 deg, rel. 13.7
64.06 deg, rel. 12.5

Structural model:
```
data_Sm5TlIn2
_chemical_formula_sum 'Sm10 Tl2 In4'
_cell_length_a 9.362
_cell_length_b 9.362
_cell_length_c 9.362
_cell_angle_alpha 128.08
_cell_angle_beta 128.08
_cell_angle_gamma 76.50
_space_group_name_H-M_alt 'P 1'
_space_group_IT_number 1
_space_group_name_Hall 'P 1'
loop_
_atom_site_label
_atom_site_fract_x
_atom_site_fract_y
_atom_site_fract_z
_atom_site_occupancy
Sm1 0.000 0.000 0.000 1
Sm2 0.015 0.515 0.832 1
Sm3 0.182 0.015 0.500 1
Sm4 0.318 0.818 0.832 1
Sm5 0.485 0.318 0.500 1
Sm6 0.500 0.500 0.000 1
Sm7 0.515 0.682 0.500 1
Sm8 0.682 0.182 0.168 1
Sm9 0.818 0.985 0.500 1
Sm10 0.985 0.485 0.168 1
Tl1 0.250 0.250 0.000 1
Tl2 0.750 0.750 0.000 1
In1 0.128 0.372 0.500 1
In2 0.372 0.872 0.244 1
In3 0.628 0.128 0.756 1
In4 0.872 0.628 0.500 1
```